This entry pairs a crystal structure of TlMo4N3 with its computed XRD peak list. Radiation: Cu Kα (weighted mean of Kα1 and Kα2). Structure: a crystal structure in OQMD, relaxed with GGA-PBE.
Intensities are scaled so that the largest is 100.

Crystal structure
```
TlMo4N3
1.0
3.2653 0.0000 0.0000
-1.6326 2.8278 0.0000
0.0000 0.0000 22.5786
Tl Mo N
2 8 6
Direct
0.3333 0.6667 0.2500 Tl
0.6667 0.3333 0.7500 Tl
0.0000 0.0000 0.1424 Mo
0.0000 0.0000 0.3576 Mo
0.0000 0.0000 0.6424 Mo
0.0000 0.0000 0.8576 Mo
0.3333 0.6667 0.0550 Mo
0.3333 0.6667 0.4450 Mo
0.6667 0.3333 0.5550 Mo
0.6667 0.3333 0.9450 Mo
0.0000 0.0000 0.0000 N
0.0000 0.0000 0.5000 N
0.3333 0.6667 0.6108 N
0.3333 0.6667 0.8892 N
0.6667 0.3333 0.1108 N
0.6667 0.3333 0.3892 N
```

Top 10 peaks for 2θ = 10–90°, sorted by position:
- hkl 0 0 6, 23.64°, rel. 14
- hkl 1 0 1, 31.89°, rel. 59
- hkl 1 0 4, 35.51°, rel. 70
- hkl 1 0 5, 37.53°, rel. 100
- hkl 0 0 10, 39.90°, rel. 89
- hkl 1 0 11, 55.30°, rel. 23
- hkl 1 1 0, 56.35°, rel. 48
- hkl 1 0 14, 66.77°, rel. 14
- hkl 2 0 5, 69.69°, rel. 16
- hkl 1 1 10, 71.27°, rel. 45